# 1
Structure and calculated PXRD pattern of Pm2TmCu6 (a DFT-relaxed cell (PBE, Alexandria); Cu Kα (weighted mean of Kα1 and Kα2)).
No peak broadening, texture or thermal motion is included.

Structure:
```
Pm2TmCu6
1.0
7.3643 0.0000 0.0000
-3.6822 6.3777 0.0000
0.0000 0.0000 3.6396
Pm Tm Cu
2 1 6
Direct
0.3333 0.6667 0.0000 Pm
0.6667 0.3333 0.0000 Pm
0.0000 0.0000 0.0000 Tm
0.0000 0.3305 0.5000 Cu
0.0000 0.6695 0.5000 Cu
0.3305 0.0000 0.5000 Cu
0.3305 0.3305 0.5000 Cu
0.6695 0.0000 0.5000 Cu
0.6695 0.6695 0.5000 Cu
```

The 12 most intense peaks (2θ from 10° to 80°), in order of falling intensity:
- 2θ 34.65, d = 2.589 Å, I 100
- 2θ 42.52, d = 2.126 Å, I 48
- 2θ 55.97, d = 1.643 Å, I 25
- 2θ 67.79, d = 1.382 Å, I 23
- 2θ 72.75, d = 1.300 Å, I 22
- 2θ 24.17, d = 3.682 Å, I 18
- 2θ 50.13, d = 1.820 Å, I 10
- 2θ 77.82, d = 1.227 Å, I 8
- 2θ 56.40, d = 1.631 Å, I 4
- 2θ 49.51, d = 1.841 Å, I 3
- 2θ 67.27, d = 1.392 Å, I 2
- 2θ 73.12, d = 1.294 Å, I 2

# 2
Structure and calculated PXRD pattern of PmTm5Cu4 (a DFT-relaxed cell (PBE, Alexandria); Cu Kα (weighted mean of Kα1 and Kα2)).
No peak broadening, texture or thermal motion is included.

Structure:
```
PmTm5Cu4
1.0
3.4183 0.0000 0.0000
0.0000 3.4183 0.0000
0.0000 0.0000 19.0633
Pm Tm Cu
1 5 4
Direct
0.0000 0.0000 0.0000 Pm
0.5000 0.5000 0.1408 Tm
0.5000 0.5000 0.3192 Tm
0.5000 0.5000 0.5000 Tm
0.5000 0.5000 0.6808 Tm
0.5000 0.5000 0.8592 Tm
0.0000 0.0000 0.2287 Cu
0.0000 0.0000 0.4095 Cu
0.0000 0.0000 0.5905 Cu
0.0000 0.0000 0.7713 Cu
```

The 12 most intense peaks (2θ from 10° to 80°), in order of falling intensity:
- 2θ 35.26, d = 2.545 Å, I 100
- 2θ 37.20, d = 2.417 Å, I 84
- 2θ 38.69, d = 2.327 Å, I 50
- 2θ 65.82, d = 1.419 Å, I 32
- 2θ 53.62, d = 1.709 Å, I 29
- 2θ 26.07, d = 3.418 Å, I 23
- 2θ 32.23, d = 2.778 Å, I 22
- 2θ 68.06, d = 1.378 Å, I 19
- 2θ 28.08, d = 3.177 Å, I 17
- 2θ 47.25, d = 1.924 Å, I 17
- 2θ 66.37, d = 1.408 Å, I 17
- 2θ 59.83, d = 1.546 Å, I 13

# 3
Structure and calculated PXRD pattern of PmTm4Cu4 (a DFT-relaxed cell (PBE, Alexandria); Cu Kα (weighted mean of Kα1 and Kα2)).
No peak broadening, texture or thermal motion is included.

Structure:
```
PmTm4Cu4
1.0
8.8886 0.0000 0.0000
0.0000 8.8886 0.0000
0.0000 0.0000 5.6022
Pm Tm Cu
2 8 8
Direct
0.2500 0.2500 0.2500 Pm
0.7500 0.7500 0.7500 Pm
0.0808 0.6564 0.1506 Tm
0.1564 0.9192 0.6506 Tm
0.3436 0.5808 0.6506 Tm
0.4192 0.8436 0.1506 Tm
0.5808 0.1564 0.8494 Tm
0.6564 0.4192 0.3494 Tm
0.8436 0.0808 0.3494 Tm
0.9192 0.3436 0.8494 Tm
0.0323 0.6063 0.6383 Cu
0.1063 0.9677 0.1383 Cu
0.3937 0.5323 0.1383 Cu
0.4677 0.8937 0.6383 Cu
0.5323 0.1063 0.3617 Cu
0.6063 0.4677 0.8617 Cu
0.8937 0.0323 0.8617 Cu
0.9677 0.3937 0.3617 Cu
```

The 12 most intense peaks (2θ from 10° to 80°), in order of falling intensity:
- 2θ 31.84, d = 2.811 Å, I 100
- 2θ 27.51, d = 3.242 Å, I 69
- 2θ 33.54, d = 2.672 Å, I 51
- 2θ 45.67, d = 1.987 Å, I 43
- 2θ 44.51, d = 2.035 Å, I 28
- 2θ 49.24, d = 1.851 Å, I 21
- 2θ 54.13, d = 1.694 Å, I 20
- 2θ 39.96, d = 2.256 Å, I 20
- 2θ 14.09, d = 6.285 Å, I 18
- 2θ 53.65, d = 1.708 Å, I 17
- 2θ 35.74, d = 2.512 Å, I 16
- 2θ 39.35, d = 2.290 Å, I 15

# 4
Structure and calculated PXRD pattern of PmTm2Cu2 (a DFT-relaxed cell (PBE, Alexandria); Cu Kα (weighted mean of Kα1 and Kα2)).
No peak broadening, texture or thermal motion is included.

Structure:
```
PmTm2Cu2
1.0
3.4876 0.0000 0.0000
0.0000 5.1067 0.0000
-1.7432 0.0000 12.9226
Pm Tm Cu
2 4 4
Direct
0.1427 0.2500 0.2827 Pm
0.8573 0.7500 0.7173 Pm
0.0462 0.7500 0.0929 Tm
0.2305 0.7500 0.4607 Tm
0.7695 0.2500 0.5393 Tm
0.9538 0.2500 0.9071 Tm
0.3585 0.2500 0.7187 Cu
0.4569 0.7500 0.9150 Cu
0.5431 0.2500 0.0850 Cu
0.6415 0.7500 0.2813 Cu
```

The 12 most intense peaks (2θ from 10° to 80°), in order of falling intensity:
- 2θ 35.69, d = 2.516 Å, I 100
- 2θ 35.15, d = 2.553 Å, I 30
- 2θ 27.08, d = 3.293 Å, I 22
- 2θ 63.41, d = 1.467 Å, I 18
- 2θ 34.71, d = 2.585 Å, I 17
- 2θ 50.23, d = 1.816 Å, I 12
- 2θ 64.74, d = 1.440 Å, I 10
- 2θ 52.48, d = 1.744 Å, I 9
- 2θ 25.78, d = 3.456 Å, I 9
- 2θ 60.05, d = 1.541 Å, I 9
- 2θ 46.61, d = 1.949 Å, I 8
- 2θ 69.97, d = 1.344 Å, I 8

# 5
Structure and calculated PXRD pattern of PmTm2Cu3 (a DFT-relaxed cell (PBE, Alexandria); Cu Kα (weighted mean of Kα1 and Kα2)).
No peak broadening, texture or thermal motion is included.

Structure:
```
PmTm2Cu3
1.0
3.4495 0.0000 0.0000
0.0000 3.4495 0.0000
0.0000 0.0000 10.4750
Pm Tm Cu
1 2 3
Direct
0.0000 0.0000 0.0000 Pm
0.0000 0.0000 0.3382 Tm
0.0000 0.0000 0.6618 Tm
0.5000 0.5000 0.1828 Cu
0.5000 0.5000 0.5000 Cu
0.5000 0.5000 0.8172 Cu
```

The 12 most intense peaks (2θ from 10° to 80°), in order of falling intensity:
- 2θ 36.62, d = 2.454 Å, I 100
- 2θ 36.85, d = 2.439 Å, I 50
- 2θ 66.23, d = 1.411 Å, I 34
- 2θ 25.83, d = 3.449 Å, I 20
- 2θ 53.10, d = 1.725 Å, I 17
- 2θ 65.78, d = 1.420 Å, I 16
- 2θ 25.51, d = 3.492 Å, I 11
- 2θ 77.85, d = 1.227 Å, I 10
- 2θ 45.35, d = 2.000 Å, I 9
- 2θ 52.41, d = 1.746 Å, I 8
- 2θ 78.41, d = 1.220 Å, I 5
- 2θ 59.33, d = 1.558 Å, I 5

# 6
Structure and calculated PXRD pattern of Pm4TmCu5 (a DFT-relaxed cell (PBE, Alexandria); Cu Kα (weighted mean of Kα1 and Kα2)).
No peak broadening, texture or thermal motion is included.

Structure:
```
Pm4TmCu5
1.0
3.5171 0.0000 0.0000
0.0000 3.5171 0.0000
0.0000 0.0000 17.8628
Pm Tm Cu
4 1 5
Direct
0.0000 0.0000 0.1015 Pm
0.0000 0.0000 0.3050 Pm
0.0000 0.0000 0.6950 Pm
0.0000 0.0000 0.8985 Pm
0.0000 0.0000 0.5000 Tm
0.5000 0.5000 0.0000 Cu
0.5000 0.5000 0.2029 Cu
0.5000 0.5000 0.4108 Cu
0.5000 0.5000 0.5892 Cu
0.5000 0.5000 0.7971 Cu
```

The 12 most intense peaks (2θ from 10° to 80°), in order of falling intensity:
- 2θ 35.83, d = 2.506 Å, I 100
- 2θ 36.12, d = 2.487 Å, I 50
- 2θ 64.76, d = 1.440 Å, I 34
- 2θ 52.00, d = 1.759 Å, I 17
- 2θ 25.32, d = 3.517 Å, I 17
- 2θ 64.20, d = 1.451 Å, I 17
- 2θ 75.93, d = 1.253 Å, I 10
- 2θ 24.92, d = 3.573 Å, I 9
- 2θ 51.14, d = 1.786 Å, I 8
- 2θ 44.38, d = 2.041 Å, I 8
- 2θ 76.63, d = 1.243 Å, I 5
- 2θ 57.90, d = 1.593 Å, I 4

# 7
Structure and calculated PXRD pattern of PmTm2Cu9 (a DFT-relaxed cell (PBE, Alexandria); Cu Kα (weighted mean of Kα1 and Kα2)).
No peak broadening, texture or thermal motion is included.

Structure:
```
PmTm2Cu9
1.0
2.5962 1.4989 8.2099
-2.5962 1.4989 8.2099
0.0000 -2.9979 8.2099
Pm Tm Cu
1 2 9
Direct
0.0000 0.0000 0.0000 Pm
0.1431 0.1431 0.1431 Tm
0.8569 0.8569 0.8569 Tm
0.0829 0.5834 0.5834 Cu
0.3325 0.3325 0.3325 Cu
0.4166 0.4166 0.9171 Cu
0.4166 0.9171 0.4166 Cu
0.5000 0.5000 0.5000 Cu
0.5834 0.0829 0.5834 Cu
0.5834 0.5834 0.0829 Cu
0.6675 0.6675 0.6675 Cu
0.9171 0.4166 0.4166 Cu
```

The 12 most intense peaks (2θ from 10° to 80°), in order of falling intensity:
- 2θ 41.14, d = 2.194 Å, I 100
- 2θ 34.55, d = 2.596 Å, I 50
- 2θ 32.31, d = 2.771 Å, I 43
- 2θ 40.28, d = 2.239 Å, I 36
- 2θ 35.33, d = 2.540 Å, I 27
- 2θ 66.39, d = 1.408 Å, I 23
- 2θ 72.86, d = 1.298 Å, I 21
- 2θ 44.28, d = 2.045 Å, I 15
- 2θ 60.49, d = 1.530 Å, I 14
- 2θ 44.12, d = 2.052 Å, I 13
- 2θ 45.24, d = 2.004 Å, I 13
- 2θ 42.82, d = 2.112 Å, I 12

# 8
Structure and calculated PXRD pattern of PmYCu10 (a DFT-relaxed cell (PBE, Alexandria); Cu Kα (weighted mean of Kα1 and Kα2)).
No peak broadening, texture or thermal motion is included.

Structure:
```
PmYCu10
1.0
4.1053 0.0000 0.0000
0.0000 5.0945 0.0000
0.0000 0.0000 8.7394
Pm Y Cu
1 1 10
Direct
0.0000 0.0000 0.0000 Pm
0.0000 0.5000 0.5000 Y
0.0000 0.0000 0.3357 Cu
0.0000 0.0000 0.6643 Cu
0.0000 0.5000 0.1685 Cu
0.0000 0.5000 0.8315 Cu
0.5000 0.0000 0.5000 Cu
0.5000 0.2515 0.2523 Cu
0.5000 0.2515 0.7477 Cu
0.5000 0.5000 0.0000 Cu
0.5000 0.7485 0.2523 Cu
0.5000 0.7485 0.7477 Cu
```

The 12 most intense peaks (2θ from 10° to 80°), in order of falling intensity:
- 2θ 41.96, d = 2.153 Å, I 100
- 2θ 41.73, d = 2.164 Å, I 51
- 2θ 44.12, d = 2.053 Å, I 44
- 2θ 29.76, d = 3.002 Å, I 34
- 2θ 41.01, d = 2.201 Å, I 33
- 2θ 35.50, d = 2.529 Å, I 27
- 2θ 67.84, d = 1.382 Å, I 22
- 2θ 61.81, d = 1.501 Å, I 19
- 2θ 29.86, d = 2.992 Å, I 17
- 2θ 46.84, d = 1.940 Å, I 16
- 2θ 75.13, d = 1.264 Å, I 16
- 2θ 41.32, d = 2.185 Å, I 16

# 9
Structure and calculated PXRD pattern of Pm2Zn9Cu6 (a DFT-relaxed cell (PBE, Alexandria); Cu Kα (weighted mean of Kα1 and Kα2)).
No peak broadening, texture or thermal motion is included.

Structure:
```
Pm2Zn9Cu6
1.0
5.2306 0.0000 0.0000
-2.6153 4.5298 0.0000
0.0000 0.0000 12.4713
Pm Zn Cu
2 9 6
Direct
0.0000 0.0000 0.1635 Pm
0.0000 0.0000 0.8365 Pm
0.0000 0.5000 0.0000 Zn
0.0000 0.5000 0.3381 Zn
0.0000 0.5000 0.6619 Zn
0.5000 0.0000 0.0000 Zn
0.5000 0.0000 0.3381 Zn
0.5000 0.0000 0.6619 Zn
0.5000 0.5000 0.0000 Zn
0.5000 0.5000 0.3381 Zn
0.5000 0.5000 0.6619 Zn
0.3333 0.6667 0.1708 Cu
0.3333 0.6667 0.5000 Cu
0.3333 0.6667 0.8292 Cu
0.6667 0.3333 0.1708 Cu
0.6667 0.3333 0.5000 Cu
0.6667 0.3333 0.8292 Cu
```

The 12 most intense peaks (2θ from 10° to 80°), in order of falling intensity:
- 2θ 40.76, d = 2.214 Å, I 100
- 2θ 39.80, d = 2.265 Å, I 34
- 2θ 43.54, d = 2.079 Å, I 29
- 2θ 29.16, d = 3.063 Å, I 26
- 2θ 45.61, d = 1.989 Å, I 26
- 2θ 34.29, d = 2.615 Å, I 23
- 2θ 65.80, d = 1.419 Å, I 23
- 2θ 60.45, d = 1.531 Å, I 19
- 2θ 72.25, d = 1.308 Å, I 18
- 2θ 20.86, d = 4.258 Å, I 17
- 2θ 78.04, d = 1.224 Å, I 13
- 2θ 56.56, d = 1.627 Å, I 11

# 10
Structure and calculated PXRD pattern of PmZn8Cu4 (a DFT-relaxed cell (PBE, Alexandria); Cu Kα (weighted mean of Kα1 and Kα2)).
No peak broadening, texture or thermal motion is included.

Structure:
```
PmZn8Cu4
1.0
-4.4469 4.4469 2.4785
4.4469 -4.4469 2.4785
4.4469 4.4469 -2.4785
Pm Zn Cu
1 8 4
Direct
0.0000 0.0000 0.0000 Pm
0.0000 0.3495 0.3495 Zn
0.0000 0.6505 0.6505 Zn
0.2779 0.5000 0.7779 Zn
0.3495 0.0000 0.3495 Zn
0.5000 0.2779 0.7779 Zn
0.5000 0.7221 0.2221 Zn
0.6505 0.0000 0.6505 Zn
0.7221 0.5000 0.2221 Zn
0.0000 0.0000 0.5000 Cu
0.0000 0.5000 0.0000 Cu
0.5000 0.0000 0.0000 Cu
0.5000 0.5000 0.5000 Cu
```

The 12 most intense peaks (2θ from 10° to 80°), in order of falling intensity:
- 2θ 40.86, d = 2.208 Å, I 100
- 2θ 41.72, d = 2.165 Å, I 67
- 2θ 40.57, d = 2.223 Å, I 64
- 2θ 35.28, d = 2.544 Å, I 48
- 2θ 46.66, d = 1.947 Å, I 40
- 2θ 74.01, d = 1.281 Å, I 24
- 2θ 74.60, d = 1.272 Å, I 22
- 2θ 28.78, d = 3.102 Å, I 21
- 2θ 68.33, d = 1.373 Å, I 21
- 2θ 45.62, d = 1.989 Å, I 18
- 2θ 36.24, d = 2.478 Å, I 17
- 2θ 45.88, d = 1.978 Å, I 12

# 11
Structure and calculated PXRD pattern of PmZn12Cu7 (a DFT-relaxed cell (PBE, Alexandria); Cu Kα (weighted mean of Kα1 and Kα2)).
No peak broadening, texture or thermal motion is included.

Structure:
```
PmZn12Cu7
1.0
-4.4538 4.4538 4.4538
4.4538 -4.4538 4.4538
4.4538 4.4538 -4.4538
Pm Zn Cu
1 12 7
Direct
0.0000 0.0000 0.0000 Pm
0.1047 0.7571 0.3476 Zn
0.2429 0.3476 0.5905 Zn
0.2429 0.6524 0.8953 Zn
0.3476 0.1047 0.7571 Zn
0.3476 0.5905 0.2429 Zn
0.4095 0.7571 0.6524 Zn
0.5905 0.2429 0.3476 Zn
0.6524 0.4095 0.7571 Zn
0.6524 0.8953 0.2429 Zn
0.7571 0.3476 0.1047 Zn
0.7571 0.6524 0.4095 Zn
0.8953 0.2429 0.6524 Zn
0.0000 0.0000 0.5000 Cu
0.0000 0.5000 0.0000 Cu
0.0000 0.5000 0.5000 Cu
0.5000 0.0000 0.0000 Cu
0.5000 0.0000 0.5000 Cu
0.5000 0.5000 0.0000 Cu
0.5000 0.5000 0.5000 Cu
```

The 12 most intense peaks (2θ from 10° to 80°), in order of falling intensity:
- 2θ 50.17, d = 1.818 Å, I 100
- 2θ 40.51, d = 2.227 Å, I 63
- 2θ 24.48, d = 3.636 Å, I 53
- 2θ 45.54, d = 1.992 Å, I 47
- 2θ 31.77, d = 2.817 Å, I 42
- 2θ 28.34, d = 3.149 Å, I 42
- 2θ 37.79, d = 2.381 Å, I 33
- 2θ 34.89, d = 2.571 Å, I 18
- 2θ 52.37, d = 1.747 Å, I 16
- 2θ 60.62, d = 1.528 Å, I 16
- 2θ 66.37, d = 1.408 Å, I 13
- 2θ 77.23, d = 1.235 Å, I 13

# 12
Structure and calculated PXRD pattern of Pm2Zn2Cu15 (a DFT-relaxed cell (PBE, Alexandria); Cu Kα (weighted mean of Kα1 and Kα2)).
No peak broadening, texture or thermal motion is included.

Structure:
```
Pm2Zn2Cu15
1.0
4.3232 2.4960 4.2271
-4.3232 2.4960 4.2271
0.0000 -4.9920 4.2271
Pm Zn Cu
2 2 15
Direct
0.1524 0.1524 0.1524 Pm
0.8476 0.8476 0.8476 Pm
0.3988 0.3988 0.3988 Zn
0.6012 0.6012 0.6012 Zn
0.0000 0.5000 0.5000 Cu
0.1543 0.1543 0.6536 Cu
0.1543 0.6536 0.1543 Cu
0.2029 0.5000 0.7971 Cu
0.2029 0.7971 0.5000 Cu
0.3464 0.8457 0.8457 Cu
0.5000 0.0000 0.5000 Cu
0.5000 0.2029 0.7971 Cu
0.5000 0.5000 0.0000 Cu
0.5000 0.7971 0.2029 Cu
0.6536 0.1543 0.1543 Cu
0.7971 0.2029 0.5000 Cu
0.7971 0.5000 0.2029 Cu
0.8457 0.3464 0.8457 Cu
0.8457 0.8457 0.3464 Cu
```

The 12 most intense peaks (2θ from 10° to 80°), in order of falling intensity:
- 2θ 42.04, d = 2.149 Å, I 100
- 2θ 41.79, d = 2.162 Å, I 63
- 2θ 42.80, d = 2.113 Å, I 52
- 2θ 35.98, d = 2.496 Å, I 42
- 2θ 47.23, d = 1.925 Å, I 33
- 2θ 37.16, d = 2.419 Å, I 33
- 2θ 61.36, d = 1.511 Å, I 25
- 2θ 29.56, d = 3.022 Å, I 25
- 2θ 76.30, d = 1.248 Å, I 19
- 2θ 60.74, d = 1.525 Å, I 19
- 2θ 68.82, d = 1.364 Å, I 18
- 2θ 77.85, d = 1.227 Å, I 17